Al2NiO4: simulated XRD peak list (Cu Kα), based on the GGA+U geometry in the Materials Project.
Intensities are scaled so that the largest is 100.

Structural model:
Lattice parameters (Å, degrees): 5.815 5.815 8.049 90.00 90.00 90.00
Space group I4_1md (No. 109)
Asymmetric unit:
1 Al 0.000 0.248 0.000 x8
2 Ni 0.000 0.000 0.381 x4
3 O 0.000 0.215 0.761 x8
4 O 0.000 0.278 0.237 x8

Principal peaks in the range 2θ from 10° to 80°, by intensity:
d_spacing, I (rel.), index
2.475, 100, 2 1 1
2.876, 73, 1 1 2
2.436, 52, 1 0 3
1.438, 49, 2 2 4
1.581, 41, 3 2 1
2.908, 38, 2 0 0
1.454, 25, 4 0 0
1.673, 24, 3 1 2
1.551, 18, 1 0 5
1.248, 12, 4 1 3

FeCoO4: simulated XRD peak list (Cu Kα), based on the GGA+U geometry in the Materials Project.
Intensities are scaled so that the largest is 100.

Structural model:
Lattice parameters (Å, degrees): 5.038 2.914 5.056 90.00 109.20 90.00
Space group P2/m (No. 10)
Asymmetric unit:
1 Fe 0.000 0.000 0.000 x1
2 Co 0.500 0.500 0.000 x1
3 O 0.246 0.500 0.198 x2
4 O 0.280 0.000 0.802 x2

Principal peaks in the range 2θ from 10° to 80°, by intensity:
d_spacing, I (rel.), index
4.774, 100, 0 0 1
2.064, 30, 1 1 1
2.485, 22, 1 1 0
2.057, 15, 2 0 -2
1.458, 11, 0 2 0
1.590, 11, 1 1 2
2.479, 11, 2 0 -1
1.393, 9, 0 2 1
1.893, 9, 2 0 1
1.455, 9, 3 1 -1